Entry 1:
Structure and simulated PXRD pattern of ZnTc3 (a cell relaxed with PBE; CuKα).

Structural model:
a = 2.7747 Å, b = 2.7747 Å, c = 7.5294 Å
α = 90.00°, β = 90.00°, γ = 90.00°
Atoms (fractional coordinates):
Zn1 0.0000 0.0000 0.0000
Tc1 0.0000 0.0000 0.5000
Tc2 0.5000 0.5000 0.2543
Tc3 0.5000 0.5000 0.7457

Top 8 peaks for 15° ≤ 2θ ≤ 90°, sorted by position:
| d/Å | intensity |
| --- | --- |
| 2.234 | 100 |
| 1.962 | 34 |
| 1.882 | 15 |
| 1.387 | 10 |
| 1.358 | 19 |
| 1.179 | 24 |
| 1.143 | 11 |
| 1.117 | 10 |

***

Entry 2:
Structure and simulated PXRD pattern of NbPO5 (a cell relaxed with PBE; CuKα).

Structural model:
a = 6.5117 Å, b = 6.5117 Å, c = 4.2130 Å
α = 90.00°, β = 90.00°, γ = 90.00°
Atoms (fractional coordinates):
Nb1 0.2500 0.2500 0.2233
Nb2 0.7500 0.7500 0.7767
P1 0.2500 0.7500 0.5000
P2 0.7500 0.2500 0.5000
O1 0.0566 0.7519 0.7103
O2 0.2481 0.5566 0.2897
O3 0.2500 0.2500 0.8001
O4 0.2519 0.9434 0.2897
O5 0.4434 0.7481 0.7103
O6 0.5566 0.2519 0.2897
O7 0.7481 0.0566 0.7103
O8 0.7500 0.7500 0.1999
O9 0.7519 0.4434 0.7103
O10 0.9434 0.2481 0.2897

Top 8 peaks for 15° ≤ 2θ ≤ 90°, sorted by position:
| d/Å | intensity |
| --- | --- |
| 4.604 | 30 |
| 3.537 | 100 |
| 3.256 | 95 |
| 3.108 | 25 |
| 2.059 | 21 |
| 1.930 | 32 |
| 1.916 | 22 |
| 1.473 | 29 |

***

Entry 3:
Structure and simulated PXRD pattern of Ho6In2CN (a cell relaxed with PBE; CuKα).

Structural model:
a = 6.8481 Å, b = 6.8481 Å, c = 6.8481 Å
α = 60.00°, β = 60.00°, γ = 60.00°
Atoms (fractional coordinates):
Ho1 0.2504 0.2504 0.7496
Ho2 0.2504 0.7496 0.2504
Ho3 0.2504 0.7496 0.7496
Ho4 0.7496 0.2504 0.2504
Ho5 0.7496 0.2504 0.7496
Ho6 0.7496 0.7496 0.2504
In1 0.2500 0.2500 0.2500
In2 0.7500 0.7500 0.7500
C1 0.0000 0.0000 0.0000
N1 0.5000 0.5000 0.5000

Top 8 peaks for 15° ≤ 2θ ≤ 90°, sorted by position:
| d/Å | intensity |
| --- | --- |
| 4.842 | 3 |
| 2.796 | 100 |
| 2.421 | 55 |
| 1.712 | 38 |
| 1.460 | 42 |
| 1.398 | 13 |
| 1.211 | 6 |
| 1.111 | 18 |

***

Entry 4:
Structure and simulated PXRD pattern of Sr3ZnP3 (a cell relaxed with PBE; CuKα).

Structural model:
a = 9.9157 Å, b = 9.9157 Å, c = 12.5130 Å
α = 90.00°, β = 90.00°, γ = 37.52°
Atoms (fractional coordinates):
Sr1 0.0254 0.6259 0.1310
Sr2 0.1259 0.5254 0.6310
Sr3 0.1887 0.8113 0.8529
Sr4 0.3113 0.6887 0.3529
Sr5 0.3741 0.9746 0.1310
Sr6 0.4746 0.8741 0.6310
Sr7 0.5254 0.1259 0.3690
Sr8 0.6259 0.0254 0.8690
Sr9 0.6887 0.3113 0.6471
Sr10 0.8113 0.1887 0.1471
Sr11 0.8741 0.4746 0.3690
Sr12 0.9746 0.3741 0.8690
Zn1 0.0840 0.0840 0.5000
Zn2 0.4160 0.4160 0.0000
Zn3 0.5840 0.5840 0.0000
Zn4 0.9160 0.9160 0.5000
P1 0.0478 0.6322 0.3813
P2 0.1322 0.5478 0.8813
P3 0.2118 0.7882 0.6053
P4 0.2882 0.7118 0.1053
P5 0.3678 0.9522 0.3813
P6 0.4522 0.8678 0.8813
P7 0.5478 0.1322 0.1187
P8 0.6322 0.0478 0.6187
P9 0.7118 0.2882 0.8947
P10 0.7882 0.2118 0.3947
P11 0.8678 0.4522 0.1187
P12 0.9522 0.3678 0.6187

Top 8 peaks for 15° ≤ 2θ ≤ 90°, sorted by position:
| d/Å | intensity |
| --- | --- |
| 3.636 | 71 |
| 3.432 | 28 |
| 3.189 | 26 |
| 3.130 | 98 |
| 2.935 | 22 |
| 2.233 | 100 |
| 2.212 | 62 |
| 1.281 | 24 |